No. 1
This entry pairs a crystal structure of Ac2La5Nd2 with its calculated powder XRD pattern. Radiation: Cu Kα X-rays. Structure: DFT lattice parameters and positions (PBE).
Intensities are scaled so that the largest is 100.

Cell and atoms:
```
Ac2La5Nd2
1.0
-7.8117 6.4130 3.4175
7.8117 -6.4130 3.4175
7.8117 6.4130 -3.4175
Ac La Nd
4 10 4
Cartesian
0.0000 0.0000 0.0000
7.8117 0.0000 0.0000
11.7175 -0.2195 0.3344
3.9058 0.2195 0.3344
6.9308 3.4438 -1.8301
8.6926 -2.9693 1.5875
10.0722 2.8041 -0.8890
5.5512 -3.6089 2.5285
3.9058 3.8832 -0.0008
0.8809 2.9693 1.5875
6.9308 2.9693 1.5875
2.2605 10.0220 -0.8890
-2.2605 3.6089 2.5285
3.9058 2.5298 3.4167
1.8240 -0.2538 3.5163
5.9876 -0.2538 3.5163
1.8240 6.6668 0.0988
5.9876 6.6668 0.0988
```

Main lines, in order of rising 2θ (5° ≤ 2θ ≤ 70°):
- 2θ 27.2, rel. 100.0
- 2θ 27.8, rel. 68.4
- 2θ 29.4, rel. 44.7
- 2θ 29.6, rel. 74.6
- 2θ 31.3, rel. 28.3
- 2θ 31.8, rel. 28.2
- 2θ 32.1, rel. 26.2
- 2θ 33.7, rel. 99.5
- 2θ 46.7, rel. 24.4
- 2θ 57.1, rel. 20.6

***

No. 2
This entry pairs a crystal structure of Mg4Zn2Cd3 with its calculated powder XRD pattern. Radiation: Cu Kα X-rays. Structure: DFT lattice parameters and positions (PBE).
Intensities are scaled so that the largest is 100.

Cell and atoms:
```
Mg4Zn2Cd3
1.0
4.4493 -2.3181 0.0000
4.4493 2.3181 0.0000
-1.3062 0.0000 8.8435
Mg Zn Cd
4 2 3
Cartesian
-0.3976 0.0000 2.8638
2.8045 0.0000 1.0148
4.7879 0.0000 7.8287
7.9900 0.0000 5.9797
1.9357 0.0000 6.9541
5.6567 0.0000 1.8894
0.0000 0.0000 0.0000
2.3913 0.0000 4.0249
5.2011 0.0000 4.8186
```

Main lines, in order of rising 2θ (5° ≤ 2θ ≤ 70°):
- 2θ 20.1, rel. 8.5
- 2θ 21.2, rel. 11.0
- 2θ 24.5, rel. 16.8
- 2θ 36.3, rel. 100.0
- 2θ 38.8, rel. 20.9
- 2θ 39.2, rel. 19.7
- 2θ 47.8, rel. 11.0
- 2θ 56.4, rel. 13.0
- 2θ 63.2, rel. 9.1
- 2θ 68.7, rel. 14.2

***

No. 3
This entry pairs a crystal structure of K2SnPPd6 with its calculated powder XRD pattern. Radiation: Cu Kα X-rays. Structure: DFT lattice parameters and positions (PBE).
Intensities are scaled so that the largest is 100.

Cell and atoms:
```
K2SnPPd6
1.0
6.2187 0.0000 0.0000
0.0000 9.0244 0.0000
0.0000 0.0000 7.6640
K Sn P Pd
4 2 2 12
Cartesian
1.5547 0.4403 1.4846
1.5547 4.0719 1.4846
4.6640 4.9525 6.1795
4.6640 8.5841 6.1795
1.5547 6.7683 6.1096
4.6640 2.2561 1.5544
1.5547 2.2561 5.4613
4.6640 6.7683 2.2028
0.1945 6.7683 0.7445
0.1989 6.7683 3.7167
1.5547 0.0469 4.6656
1.5547 4.4653 4.6656
2.9105 6.7683 3.7167
2.9148 6.7683 0.7445
3.3039 2.2561 6.9195
3.3082 2.2561 3.9473
4.6640 4.5591 2.9985
4.6640 8.9775 2.9985
6.0198 2.2561 3.9473
6.0242 2.2561 6.9195
```

Main lines, in order of rising 2θ (5° ≤ 2θ ≤ 70°):
- 2θ 11.5, rel. 49.8
- 2θ 18.4, rel. 47.8
- 2θ 19.7, rel. 60.0
- 2θ 32.6, rel. 42.0
- 2θ 33.9, rel. 51.3
- 2θ 35.1, rel. 100.0
- 2θ 37.2, rel. 43.3
- 2θ 40.0, rel. 72.2
- 2θ 42.5, rel. 53.4
- 2θ 43.2, rel. 47.7

***

No. 4
This entry pairs a crystal structure of CePm4Pr2 with its calculated powder XRD pattern. Radiation: Cu Kα X-rays. Structure: DFT lattice parameters and positions (PBE).
Intensities are scaled so that the largest is 100.

Cell and atoms:
```
CePm4Pr2
1.0
3.1759 -1.8334 0.0000
3.1759 1.8334 0.0000
-2.1187 0.0000 20.7562
Ce Pm Pr
1 4 2
Cartesian
0.0000 0.0000 0.0000
-0.0007 0.0000 17.8624
2.1205 0.0000 2.8821
4.2285 0.0000 8.8431
4.2413 0.0000 14.8844
0.0184 0.0000 5.8840
0.0199 0.0000 11.8772
```

Main lines, in order of rising 2θ (5° ≤ 2θ ≤ 70°):
- 2θ 28.1, rel. 33.8
- 2θ 30.1, rel. 54.9
- 2θ 31.6, rel. 100.0
- 2θ 32.3, rel. 95.2
- 2θ 49.7, rel. 41.5
- 2θ 54.0, rel. 21.3
- 2θ 55.4, rel. 20.3
- 2θ 59.3, rel. 48.3
- 2θ 60.1, rel. 15.9
- 2θ 60.6, rel. 15.7

***

No. 5
This entry pairs a crystal structure of NaZr2CuF11 with its calculated powder XRD pattern. Radiation: Cu Kα X-rays. Structure: DFT lattice parameters and positions (PBE).
Intensities are scaled so that the largest is 100.

Cell and atoms:
```
NaZr2CuF11
1.0
5.5640 0.0000 0.0000
-1.6216 5.6569 0.0000
-0.8345 -3.0665 7.0846
Na Zr Cu F
1 2 1 11
Cartesian
0.0000 0.0000 0.0000
1.6231 -0.8248 5.4060
1.4848 3.4152 1.6787
-1.2281 1.2952 3.5423
-1.0724 3.1416 5.0850
0.0429 0.2680 4.6079
0.2191 1.8717 2.4173
-0.0468 4.3027 0.8041
1.3608 1.8443 0.1698
2.3647 -1.5332 3.5423
1.7471 0.7462 6.9148
3.1547 -1.7123 6.2806
2.8887 0.7187 4.6673
3.0650 2.3225 2.4768
4.1803 -0.5512 1.9996
```

Main lines, in order of rising 2θ (5° ≤ 2θ ≤ 70°):
- 2θ 16.7, rel. 22.4
- 2θ 17.0, rel. 30.6
- 2θ 21.7, rel. 100.0
- 2θ 25.0, rel. 64.9
- 2θ 26.0, rel. 46.5
- 2θ 27.0, rel. 39.8
- 2θ 43.9, rel. 20.8
- 2θ 44.3, rel. 26.6
- 2θ 46.0, rel. 17.5
- 2θ 47.7, rel. 17.1

***

No. 6
This entry pairs a crystal structure of Hf4SnH2 with its calculated powder XRD pattern. Radiation: Cu Kα X-rays. Structure: DFT lattice parameters and positions (PBE).
Intensities are scaled so that the largest is 100.

Cell and atoms:
```
Hf4SnH2
1.0
0.0000 6.1831 3.2323
6.1260 0.0000 3.2323
6.1260 6.1831 0.0000
Hf Sn H
8 2 4
Cartesian
7.7201 6.9342 1.5272
4.6571 2.3404 3.1434
4.5318 5.4319 1.5272
6.8788 4.6016 3.2323
7.5948 10.0258 3.1434
8.4361 7.6932 4.8484
5.3731 7.7645 3.2323
9.9418 10.8561 4.8484
3.0630 3.0915 0.7685
6.1260 6.1831 5.6169
4.9177 4.3078 3.1793
10.3973 7.3994 4.7954
7.3343 8.0583 3.1793
7.9806 11.1499 4.7954
```

Main lines, in order of rising 2θ (5° ≤ 2θ ≤ 70°):
- 2θ 31.3, rel. 46.6
- 2θ 32.4, rel. 34.0
- 2θ 32.6, rel. 36.1
- 2θ 33.9, rel. 75.0
- 2θ 34.6, rel. 100.0
- 2θ 39.7, rel. 41.8
- 2θ 40.0, rel. 37.4
- 2θ 43.1, rel. 19.3
- 2θ 43.2, rel. 34.9
- 2θ 54.8, rel. 14.3

***

Number 2 is which compound? Mg4Zn2Cd3

***

Copy entry 2 word for word.
This entry pairs a crystal structure of Mg4Zn2Cd3 with its calculated powder XRD pattern. Radiation: Cu Kα X-rays. Structure: DFT lattice parameters and positions (PBE).
Intensities are scaled so that the largest is 100.

Cell and atoms:
```
Mg4Zn2Cd3
1.0
4.4493 -2.3181 0.0000
4.4493 2.3181 0.0000
-1.3062 0.0000 8.8435
Mg Zn Cd
4 2 3
Cartesian
-0.3976 0.0000 2.8638
2.8045 0.0000 1.0148
4.7879 0.0000 7.8287
7.9900 0.0000 5.9797
1.9357 0.0000 6.9541
5.6567 0.0000 1.8894
0.0000 0.0000 0.0000
2.3913 0.0000 4.0249
5.2011 0.0000 4.8186
```

Main lines, in order of rising 2θ (5° ≤ 2θ ≤ 70°):
- 2θ 20.1, rel. 8.5
- 2θ 21.2, rel. 11.0
- 2θ 24.5, rel. 16.8
- 2θ 36.3, rel. 100.0
- 2θ 38.8, rel. 20.9
- 2θ 39.2, rel. 19.7
- 2θ 47.8, rel. 11.0
- 2θ 56.4, rel. 13.0
- 2θ 63.2, rel. 9.1
- 2θ 68.7, rel. 14.2